The following is a calculated powder X-ray diffraction pattern of ZrGa2Ni9. It was derived from DFT lattice parameters and positions (PBE), using CuKα.
Intensities are scaled so that the largest is 100.

Crystal structure
```
data_ZrGa2Ni9
_symmetry_space_group_name_H-M 'R -3 m'
_symmetry_Int_Tables_number 166
_symmetry_space_group_name_Hall '-R 3 2"'
_cell_length_a 4.7737
_cell_length_b 4.7737
_cell_length_c 23.0423
_cell_angle_alpha 90.00
_cell_angle_beta 90.00
_cell_angle_gamma 120.00
loop_
_atom_site_label
_atom_site_type_symbol
_atom_site_fract_x
_atom_site_fract_y
_atom_site_fract_z
_atom_site_occupancy
Zr1 Zr 0.0000 0.0000 0.0000 1
Ga1 Ga 0.0000 0.0000 0.1402 1
Ni1 Ni 0.0000 0.0000 0.3342 1
Ni2 Ni 0.0000 0.0000 0.5000 1
Ni3 Ni 0.0053 0.5026 0.9139 1
```

Peak list (8 most intense, 10 to 90 degrees two-theta, sorted by position)
h k l	2θ (°)	I (rel.)
1 1 0	37.69	31
0 1 8	38.08	22
0 2 1	43.98	32
1 1 6	44.70	100
0 0 12	47.34	21
2 0 5	48.25	30
0 3 6	72.93	21
2 2 0	80.48	22

***

The following is a calculated powder X-ray diffraction pattern of Pm5Pb4. It was derived from DFT lattice parameters and positions (PBE), using CuKα.
Intensities are scaled so that the largest is 100.

Crystal structure
```
data_Pm5Pb4
_symmetry_space_group_name_H-M 'I m m m'
_symmetry_Int_Tables_number 71
_symmetry_space_group_name_Hall '-I 2 2'
_cell_length_a 4.289
_cell_length_b 11.354
_cell_length_c 11.361
_cell_angle_alpha 90.00
_cell_angle_beta 90.00
_cell_angle_gamma 90.00
loop_
_atom_site_label
_atom_site_type_symbol
_atom_site_fract_x
_atom_site_fract_y
_atom_site_fract_z
_atom_site_occupancy
Pm1 Pm 0.000 0.000 0.000 1
Pm2 Pm 0.000 0.000 0.315 1
Pm3 Pm 0.000 0.316 0.000 1
Pb1 Pb 0.000 0.325 0.325 1
```

Peak list (8 most intense, 10 to 90 degrees two-theta, sorted by position)
h k l	2θ (°)	I (rel.)
1 3 0	31.52	100
0 3 3	33.47	41
2 0 0	42.13	12
0 6 0	48.07	14
2 3 3	54.85	20
1 6 3	58.62	30
2 6 0	65.80	12
3 3 0	70.37	15

***

The following is a calculated powder X-ray diffraction pattern of RbBaHgPt2. It was derived from DFT lattice parameters and positions (PBE), using CuKα.
Intensities are scaled so that the largest is 100.

Crystal structure
```
data_RbBaHgPt2
_symmetry_space_group_name_H-M 'P 4/m m m'
_symmetry_Int_Tables_number 123
_symmetry_space_group_name_Hall '-P 4 2'
_cell_length_a 5.799
_cell_length_b 5.799
_cell_length_c 6.469
_cell_angle_alpha 90.00
_cell_angle_beta 90.00
_cell_angle_gamma 90.00
loop_
_atom_site_label
_atom_site_type_symbol
_atom_site_fract_x
_atom_site_fract_y
_atom_site_fract_z
_atom_site_occupancy
Rb1 Rb 0.000 0.000 0.000 1
Ba1 Ba 0.500 0.500 0.500 1
Hg1 Hg 0.500 0.500 0.000 1
Pt1 Pt 0.000 0.500 0.500 1
```

Peak list (8 most intense, 10 to 90 degrees two-theta, sorted by position)
h k l	2θ (°)	I (rel.)
1 0 0	15.28	34
1 1 1	25.72	100
0 0 2	27.58	47
2 0 0	30.84	71
2 0 2	41.84	63
2 2 0	44.18	26
3 1 1	51.82	30
2 2 2	52.88	34

***

The following is a calculated powder X-ray diffraction pattern of Sm9In3O2. It was derived from DFT lattice parameters and positions (PBE), using CuKα.
Intensities are scaled so that the largest is 100.

Crystal structure
```
data_Sm9In3O2
_symmetry_space_group_name_H-M 'P -3 m 1'
_symmetry_Int_Tables_number 164
_symmetry_space_group_name_Hall '-P 3 2"'
_cell_length_a 6.9933
_cell_length_b 6.9933
_cell_length_c 8.5737
_cell_angle_alpha 90.00
_cell_angle_beta 90.00
_cell_angle_gamma 120.00
loop_
_atom_site_label
_atom_site_type_symbol
_atom_site_fract_x
_atom_site_fract_y
_atom_site_fract_z
_atom_site_occupancy
Sm1 Sm 0.0000 0.5000 0.0000 1
Sm2 Sm 0.1687 0.3373 0.6690 1
In1 In 0.0000 0.0000 0.0000 1
In2 In 0.3333 0.6667 0.3330 1
O1 O 0.3333 0.6667 0.8408 1
```

Peak list (8 most intense, 10 to 90 degrees two-theta, sorted by position)
h k l	2θ (°)	I (rel.)
2 0 1	31.32	100
0 2 2	36.32	55
2 2 0	52.31	38
2 2 3	62.25	42
4 0 2	65.35	13
0 4 4	77.13	6
4 2 1	85.58	18
2 4 2	88.37	17

***

The following is a calculated powder X-ray diffraction pattern of Ho3ScAl2. It was derived from DFT lattice parameters and positions (PBE), using CuKα.
Intensities are scaled so that the largest is 100.

Crystal structure
```
data_Ho3ScAl2
_symmetry_space_group_name_H-M 'I m m m'
_symmetry_Int_Tables_number 71
_symmetry_space_group_name_Hall '-I 2 2'
_cell_length_a 3.268
_cell_length_b 5.322
_cell_length_c 17.907
_cell_angle_alpha 90.00
_cell_angle_beta 90.00
_cell_angle_gamma 90.00
loop_
_atom_site_label
_atom_site_type_symbol
_atom_site_fract_x
_atom_site_fract_y
_atom_site_fract_z
_atom_site_occupancy
Ho1 Ho 0.000 0.000 0.000 1
Ho2 Ho 0.000 0.500 0.186 1
Sc1 Sc 0.000 0.500 0.000 1
Al1 Al 0.000 0.500 0.356 1
```

Peak list (8 most intense, 10 to 90 degrees two-theta, sorted by position)
h k l	2θ (°)	I (rel.)
0 1 3	22.38	89
1 0 1	27.75	35
0 0 6	29.94	37
0 2 0	33.69	100
1 0 5	37.25	47
0 2 6	45.68	23
1 2 5	51.08	43
1 2 11	74.17	23

***

The following is a calculated powder X-ray diffraction pattern of PmPr4Sm2. It was derived from DFT lattice parameters and positions (PBE), using CuKα.
Intensities are scaled so that the largest is 100.

Crystal structure
```
data_PmPr4Sm2
_symmetry_space_group_name_H-M 'C 1 2/m 1'
_symmetry_Int_Tables_number 12
_cell_length_a 11.291
_cell_length_b 11.288
_cell_length_c 8.217
_cell_angle_alpha 90.00
_cell_angle_beta 90.30
_cell_angle_gamma 90.00
loop_
_symmetry_equiv_pos_as_xyz
'x,y,z'
'-x,-y,-z'
'-x,y,-z'
'x,-y,z'
'x+1/2,y+1/2,z'
'-x+1/2,-y+1/2,-z'
'-x+1/2,y+1/2,-z'
'x+1/2,-y+1/2,z'
loop_
_atom_site_label
_atom_site_type_symbol
_atom_site_fract_x
_atom_site_fract_y
_atom_site_fract_z
_atom_site_occupancy
Pm1 Pm 0.000 0.000 0.000 1
Pm2 Pm 0.000 0.000 0.500 1
Pr1 Pr 0.002 0.250 0.282 1
Pr2 Pr 0.249 0.500 0.718 1
Pr3 Pr 0.250 0.000 0.718 1
Sm1 Sm 0.000 0.500 0.000 1
Sm2 Sm 0.000 0.500 0.500 1
Sm3 Sm 0.250 0.250 0.000 1
```

Peak list (8 most intense, 10 to 90 degrees two-theta, sorted by position)
h k l	2θ (°)	I (rel.)
2 2 1	24.80	25
2 2 -2	31.19	96
2 2 2	31.30	94
4 0 0	31.70	100
4 4 0	45.45	37
6 2 -2	56.11	37
2 6 2	56.26	35
4 8 0	75.29	16

***

The following is a calculated powder X-ray diffraction pattern of CeY2Hg8. It was derived from DFT lattice parameters and positions (PBE), using CuKα.
Intensities are scaled so that the largest is 100.

Crystal structure
```
data_CeY2Hg8
_symmetry_space_group_name_H-M 'I m m m'
_symmetry_Int_Tables_number 71
_symmetry_space_group_name_Hall '-I 2 2'
_cell_length_a 5.149
_cell_length_b 7.422
_cell_length_c 14.771
_cell_angle_alpha 90.00
_cell_angle_beta 90.00
_cell_angle_gamma 90.00
loop_
_atom_site_label
_atom_site_type_symbol
_atom_site_fract_x
_atom_site_fract_y
_atom_site_fract_z
_atom_site_occupancy
Ce1 Ce 0.000 0.000 0.000 1
Y1 Y 0.000 0.000 0.309 1
Hg1 Hg 0.000 0.206 0.500 1
Hg2 Hg 0.000 0.288 0.152 1
Hg3 Hg 0.000 0.500 0.344 1
```

Peak list (8 most intense, 10 to 90 degrees two-theta, sorted by position)
h k l	2θ (°)	I (rel.)
1 1 4	32.18	16
2 0 0	34.91	100
0 0 6	36.50	17
0 3 1	36.84	9
2 0 6	51.35	13
2 3 1	51.61	7
3 2 3	62.54	15
1 2 9	64.69	8

***

The following is a calculated powder X-ray diffraction pattern of PmIn2Hg8. It was derived from DFT lattice parameters and positions (PBE), using CuKα.
Intensities are scaled so that the largest is 100.

Crystal structure
```
data_PmIn2Hg8
_symmetry_space_group_name_H-M 'C 1 2/m 1'
_symmetry_Int_Tables_number 12
_cell_length_a 9.129
_cell_length_b 20.557
_cell_length_c 3.442
_cell_angle_alpha 90.00
_cell_angle_beta 99.99
_cell_angle_gamma 90.00
loop_
_symmetry_equiv_pos_as_xyz
'x,y,z'
'-x,-y,-z'
'-x,y,-z'
'x,-y,z'
'x+1/2,y+1/2,z'
'-x+1/2,-y+1/2,-z'
'-x+1/2,y+1/2,-z'
'x+1/2,-y+1/2,z'
loop_
_atom_site_label
_atom_site_type_symbol
_atom_site_fract_x
_atom_site_fract_y
_atom_site_fract_z
_atom_site_occupancy
Pm1 Pm 0.000 0.000 0.000 1
In1 In 0.000 0.230 0.500 1
Hg1 Hg 0.000 0.353 0.000 1
Hg2 Hg 0.140 0.500 0.808 1
Hg3 Hg 0.191 0.111 0.593 1
```

Peak list (8 most intense, 10 to 90 degrees two-theta, sorted by position)
h k l	2θ (°)	I (rel.)
1 3 -1	29.53	98
3 3 0	32.61	79
1 5 -1	34.41	38
0 8 0	34.93	100
2 0 1	35.84	49
3 5 0	37.12	87
0 6 1	37.32	51
2 8 1	50.92	30

***

The following is a calculated powder X-ray diffraction pattern of UAg2Te4. It was derived from DFT lattice parameters and positions (PBE), using CuKα.
Intensities are scaled so that the largest is 100.

Crystal structure
```
data_UAg2Te4
_symmetry_space_group_name_H-M 'I m m a'
_symmetry_Int_Tables_number 74
_symmetry_space_group_name_Hall '-I 2b 2'
_cell_length_a 8.953
_cell_length_b 9.134
_cell_length_c 10.301
_cell_angle_alpha 90.00
_cell_angle_beta 90.00
_cell_angle_gamma 90.00
loop_
_atom_site_label
_atom_site_type_symbol
_atom_site_fract_x
_atom_site_fract_y
_atom_site_fract_z
_atom_site_occupancy
U1 U 0.000 0.000 0.000 1
Ag1 Ag 0.000 0.250 0.264 1
Ag2 Ag 0.250 0.250 0.750 1
Te1 Te 0.000 0.052 0.713 1
Te2 Te 0.223 0.250 0.046 1
```

Peak list (8 most intense, 10 to 90 degrees two-theta, sorted by position)
h k l	2θ (°)	I (rel.)
1 0 1	13.10	52
1 0 3	27.81	61
2 2 0	27.91	100
2 1 3	34.35	31
0 0 4	34.84	31
2 3 1	36.75	29
4 0 0	40.29	35
2 3 3	44.63	40

***

The following is a calculated powder X-ray diffraction pattern of PrDyHo2Sc. It was derived from DFT lattice parameters and positions (PBE), using CuKα.
Intensities are scaled so that the largest is 100.

Crystal structure
```
data_PrDyHo2Sc
_symmetry_space_group_name_H-M 'P m m m'
_symmetry_Int_Tables_number 47
_cell_length_a 3.577
_cell_length_b 5.436
_cell_length_c 8.327
_cell_angle_alpha 90.00
_cell_angle_beta 90.00
_cell_angle_gamma 90.00
loop_
_symmetry_equiv_pos_as_xyz
'x,y,z'
'-x,-y,-z'
'-x,-y,z'
'x,y,-z'
'x,-y,-z'
'-x,y,z'
'-x,y,-z'
'x,-y,z'
loop_
_atom_site_label
_atom_site_type_symbol
_atom_site_fract_x
_atom_site_fract_y
_atom_site_fract_z
_atom_site_occupancy
Pr1 Pr 0.000 0.000 0.000 1
Dy1 Dy 0.500 0.000 0.500 1
Ho1 Ho 0.000 0.500 0.313 1
Sc1 Sc 0.500 0.500 0.000 1
```

Peak list (8 most intense, 10 to 90 degrees two-theta, sorted by position)
h k l	2θ (°)	I (rel.)
0 1 2	26.98	80
1 1 0	29.90	23
1 1 1	31.82	100
0 2 0	32.97	63
0 1 3	36.34	21
1 0 3	41.16	35
1 2 3	53.71	32
1 1 5	64.00	25

***

The following is a calculated powder X-ray diffraction pattern of Cs2K3In2Au4. It was derived from DFT lattice parameters and positions (PBE), using CuKα.
Intensities are scaled so that the largest is 100.

Crystal structure
```
data_Cs2K3In2Au4
_symmetry_space_group_name_H-M 'I 4/m m m'
_symmetry_Int_Tables_number 139
_symmetry_space_group_name_Hall '-I 4 2'
_cell_length_a 5.498
_cell_length_b 5.498
_cell_length_c 28.763
_cell_angle_alpha 90.00
_cell_angle_beta 90.00
_cell_angle_gamma 90.00
loop_
_atom_site_label
_atom_site_type_symbol
_atom_site_fract_x
_atom_site_fract_y
_atom_site_fract_z
_atom_site_occupancy
Cs1 Cs 0.000 0.000 0.182 1
K1 K 0.000 0.000 0.364 1
K2 K 0.000 0.000 0.500 1
In1 In 0.000 0.000 0.052 1
Au1 Au 0.000 0.500 0.077 1
```

Peak list (8 most intense, 10 to 90 degrees two-theta, sorted by position)
h k l	2θ (°)	I (rel.)
0 0 6	18.52	28
1 1 2	23.71	29
0 0 8	24.76	35
1 1 6	29.58	100
2 0 0	32.57	82
2 0 8	41.34	37
2 2 0	46.73	30
3 1 6	56.28	33

***

The following is a calculated powder X-ray diffraction pattern of Pr7Dy2. It was derived from DFT lattice parameters and positions (PBE), using CuKα.
Intensities are scaled so that the largest is 100.

Crystal structure
```
data_Pr7Dy2
_symmetry_space_group_name_H-M 'P -6 2 m'
_symmetry_Int_Tables_number 189
_symmetry_space_group_name_Hall 'P -6 -2'
_cell_length_a 10.0765
_cell_length_b 10.0765
_cell_length_c 3.6056
_cell_angle_alpha 90.00
_cell_angle_beta 90.00
_cell_angle_gamma 120.00
loop_
_atom_site_label
_atom_site_type_symbol
_atom_site_fract_x
_atom_site_fract_y
_atom_site_fract_z
_atom_site_occupancy
Pr1 Pr 0.0000 0.0000 0.0000 1
Pr2 Pr 0.0000 0.3614 0.0000 1
Pr3 Pr 0.0000 0.6905 0.5000 1
Dy1 Dy 0.3333 0.6667 0.5000 1
```

Peak list (8 most intense, 10 to 90 degrees two-theta, sorted by position)
h k l	2θ (°)	I (rel.)
1 1 1	30.49	72
3 0 0	30.74	100
2 0 1	32.21	24
2 1 1	36.94	18
2 2 1	43.84	23
3 2 1	52.27	19
4 1 1	54.49	20
3 0 2	60.41	29

***

The following is a calculated powder X-ray diffraction pattern of BaSrPb6. It was derived from DFT lattice parameters and positions (PBE), using CuKα.
Intensities are scaled so that the largest is 100.

Crystal structure
```
data_BaSrPb6
_symmetry_space_group_name_H-M 'P 3 m 1'
_symmetry_Int_Tables_number 156
_cell_length_a 7.2597
_cell_length_b 7.2597
_cell_length_c 17.5407
_cell_angle_alpha 90.00
_cell_angle_beta 90.00
_cell_angle_gamma 120.00
loop_
_symmetry_equiv_pos_as_xyz
'x,y,z'
'-y,x-y,z'
'-x+y,-x,z'
'-y,-x,z'
'-x+y,y,z'
'x,x-y,z'
loop_
_atom_site_label
_atom_site_type_symbol
_atom_site_fract_x
_atom_site_fract_y
_atom_site_fract_z
_atom_site_occupancy
Ba1 Ba 0.0000 0.0000 0.0000 1
Ba2 Ba 0.0000 0.0000 0.4971 1
Ba3 Ba 0.6667 0.3333 0.6547 1
Sr1 Sr 0.3333 0.6667 0.1543 1
Sr2 Sr 0.3333 0.6667 0.8369 1
Sr3 Sr 0.6667 0.3333 0.3359 1
Pb1 Pb 0.0369 0.5185 0.4914 1
Pb2 Pb 0.1697 0.3395 0.3243 1
Pb3 Pb 0.1762 0.3523 0.6654 1
Pb4 Pb 0.3233 0.1617 0.8259 1
Pb5 Pb 0.3485 0.1742 0.1657 1
Pb6 Pb 0.5180 0.0361 0.9943 1
```

Peak list (8 most intense, 10 to 90 degrees two-theta, sorted by position)
h k l	2θ (°)	I (rel.)
0 2 1	28.85	32
0 2 2	30.20	93
0 0 6	30.58	59
2 0 3	32.33	100
2 0 4	35.12	57
2 2 0	50.27	41
0 2 8	50.77	25
2 2 6	60.00	48